(1)
This entry pairs a crystal structure of Li2CrPCO7 with its simulated X-ray diffraction stick pattern. Radiation: Cu Kα (λ = 1.5418 Å). Structure: a crystal structure in the Materials Project, relaxed with GGA+U.
Kinematic intensities with the Lorentz-polarization factor, no thermal factor.

Most intense lines, 10° ≤ 2θ ≤ 80°, in order of rising 2θ:
2theta	Rel. int.
10.7	758
17.5	370
19.6	512
21.6	726
26.4	326
27.8	1000

Crystal structure
Lattice parameters (Å, degrees): 5.0697 6.4100 8.3370 90.00 96.06 90.00
Sites, in units of the cell vectors:
Li 0.2183 0.0000 0.0993
Li 0.2609 0.2852 0.7187
Li 0.7391 0.7852 0.2813
Li 0.7817 0.5000 0.9007
Cr 0.2039 0.4923 0.3242
Cr 0.7961 0.9923 0.6758
P 0.2711 0.9960 0.4184
P 0.7289 0.4960 0.5816
C 0.3174 0.4931 0.0453
C 0.6826 0.9931 0.9547
O 0.0681 0.4899 0.0780
O 0.1371 0.0163 0.5739
O 0.1637 0.8088 0.3096
O 0.2108 0.1826 0.3016
O 0.3893 0.4657 0.9065
O 0.4240 0.4673 0.5391
O 0.4877 0.5214 0.1734
O 0.5123 0.0214 0.8266
O 0.5760 0.9673 0.4609
O 0.6107 0.9657 0.0935
O 0.7892 0.6826 0.6984
O 0.8363 0.3088 0.6904
O 0.8629 0.5163 0.4261
O 0.9319 0.9899 0.9220



(2)
This entry pairs a crystal structure of Li3CrPCO7 with its simulated X-ray diffraction stick pattern. Radiation: Cu Kα (λ = 1.5418 Å). Structure: a crystal structure in the Materials Project, relaxed with GGA+U.
Kinematic intensities with the Lorentz-polarization factor, no thermal factor.

Most intense lines, 10° ≤ 2θ ≤ 80°, in order of rising 2θ:
2theta	Rel. int.
10.3	319
16.9	1000
23.2	360
24.2	392
25.5	496
34.7	864

Crystal structure
Lattice parameters (Å, degrees): 9.5397 6.4896 9.9805 90.00 116.29 90.00
Sites, in units of the cell vectors:
Li 0.1115 0.2496 0.1924
Li 0.1115 0.2504 0.6924
Li 0.2936 0.0201 0.0138
Li 0.2936 0.4799 0.5138
Li 0.3567 0.7422 0.3159
Li 0.3567 0.7578 0.8159
Li 0.6433 0.2422 0.1841
Li 0.6433 0.2578 0.6841
Li 0.7064 0.5201 0.4862
Li 0.7064 0.9799 0.9862
Li 0.8885 0.7496 0.3076
Li 0.8885 0.7504 0.8076
Cr 0.2593 0.5174 0.0041
Cr 0.2593 0.9826 0.5041
Cr 0.7407 0.0174 0.4959
Cr 0.7407 0.4826 0.9959
P 0.4108 0.2463 0.3177
P 0.4108 0.2537 0.8177
P 0.5892 0.7463 0.1823
P 0.5892 0.7537 0.6823
C 0.0405 0.7366 0.1234
C 0.0405 0.7634 0.6234
C 0.9595 0.2366 0.3766
C 0.9595 0.2634 0.8766
O 0.0618 0.7490 0.2580
O 0.0618 0.7510 0.7580
O 0.1032 0.2221 0.4873
O 0.1032 0.2779 0.9873
O 0.1565 0.7417 0.0884
O 0.1565 0.7583 0.5884
O 0.3127 0.0575 0.3261
O 0.3127 0.4425 0.8261
O 0.3147 0.0640 0.8218
O 0.3147 0.4360 0.3218
O 0.4219 0.7497 0.0492
O 0.4219 0.7503 0.5492
O 0.4250 0.2354 0.1692
O 0.4250 0.2646 0.6692
O 0.5750 0.7354 0.3308
O 0.5750 0.7646 0.8308
O 0.5781 0.2497 0.4508
O 0.5781 0.2503 0.9508
O 0.6853 0.5640 0.6782
O 0.6853 0.9360 0.1782
O 0.6873 0.5575 0.1739
O 0.6873 0.9425 0.6739
O 0.8435 0.2417 0.4116
O 0.8435 0.2583 0.9116
O 0.8968 0.7221 0.0127
O 0.8968 0.7779 0.5127
O 0.9382 0.2490 0.2420
O 0.9382 0.2510 0.7420



(3)
This entry pairs a crystal structure of Li3CrPCO7 with its simulated X-ray diffraction stick pattern. Radiation: Cu Kα (λ = 1.5418 Å). Structure: a crystal structure in the Materials Project, relaxed with GGA+U.
Kinematic intensities with the Lorentz-polarization factor, no thermal factor.

Most intense lines, 10° ≤ 2θ ≤ 80°, in order of rising 2θ:
2theta	Rel. int.
17.1	1000
22.5	609
24.2	419
25.5	519
34.6	929
35.0	418

Crystal structure
Lattice parameters (Å, degrees): 4.9732 6.5312 8.5792 90.00 94.78 90.00
Sites, in units of the cell vectors:
Li 0.2266 0.0000 0.3594
Li 0.2284 0.4867 0.1154
Li 0.2362 0.7657 0.6983
Li 0.7638 0.2657 0.3017
Li 0.7716 0.9867 0.8846
Li 0.7734 0.5000 0.6406
Cr 0.2444 0.2604 0.7464
Cr 0.7556 0.7604 0.2536
P 0.2726 0.4859 0.4125
P 0.7274 0.9859 0.5875
C 0.2865 0.9881 0.0418
C 0.7135 0.4881 0.9582
O 0.0341 0.9791 0.0588
O 0.1586 0.6765 0.3183
O 0.1652 0.3003 0.3141
O 0.1767 0.4903 0.5815
O 0.3728 0.0201 0.9016
O 0.4144 0.9899 0.5759
O 0.4648 0.9702 0.1603
O 0.5352 0.4702 0.8397
O 0.5856 0.4899 0.4241
O 0.6272 0.5201 0.0984
O 0.8233 0.9903 0.4185
O 0.8348 0.8003 0.6859
O 0.8414 0.1765 0.6817
O 0.9659 0.4791 0.9412



(4)
This entry pairs a crystal structure of Li3CrPCO7 with its simulated X-ray diffraction stick pattern. Radiation: Cu Kα (λ = 1.5418 Å). Structure: a crystal structure in the Materials Project, relaxed with GGA+U.
Kinematic intensities with the Lorentz-polarization factor, no thermal factor.

Most intense lines, 10° ≤ 2θ ≤ 80°, in order of rising 2θ:
2theta	Rel. int.
16.3	629
18.9	404
19.8	382
24.2	436
25.6	575
34.8	1000

Crystal structure
Lattice parameters (Å, degrees): 8.5669 6.4744 9.9781 90.00 95.18 90.00
Sites, in units of the cell vectors:
Li 0.1082 0.2485 0.3646
Li 0.1082 0.2515 0.8646
Li 0.2893 0.0194 0.1325
Li 0.2893 0.4806 0.6325
Li 0.3543 0.7474 0.8619
Li 0.3543 0.7526 0.3619
Li 0.6457 0.2474 0.6381
Li 0.6457 0.2526 0.1381
Li 0.7107 0.5194 0.3675
Li 0.7107 0.9806 0.8675
Li 0.8918 0.7485 0.1354
Li 0.8918 0.7515 0.6354
Cr 0.2619 0.5141 0.1248
Cr 0.2619 0.9859 0.6248
Cr 0.7381 0.0141 0.3752
Cr 0.7381 0.4859 0.8752
P 0.4103 0.2493 0.3885
P 0.4103 0.2507 0.8885
P 0.5897 0.7493 0.1115
P 0.5897 0.7507 0.6115
C 0.0394 0.7407 0.8972
C 0.0394 0.7593 0.3972
C 0.9606 0.2407 0.6028
C 0.9606 0.2593 0.1028
O 0.0642 0.7480 0.2738
O 0.0642 0.7520 0.7738
O 0.1060 0.2284 0.5671
O 0.1060 0.2716 0.0671
O 0.1529 0.7447 0.9926
O 0.1529 0.7553 0.4926
O 0.3114 0.0599 0.3380
O 0.3114 0.4401 0.8380
O 0.3137 0.0607 0.8302
O 0.3137 0.4393 0.3302
O 0.4224 0.7499 0.1614
O 0.4224 0.7501 0.6614
O 0.4255 0.2403 0.0443
O 0.4255 0.2597 0.5443
O 0.5745 0.7403 0.4557
O 0.5745 0.7597 0.9557
O 0.5776 0.2499 0.3386
O 0.5776 0.2501 0.8386
O 0.6863 0.5607 0.6698
O 0.6863 0.9393 0.1698
O 0.6886 0.5599 0.1620
O 0.6886 0.9401 0.6620
O 0.8471 0.2447 0.5074
O 0.8471 0.2553 0.0074
O 0.8940 0.7284 0.9329
O 0.8940 0.7716 0.4329
O 0.9358 0.2480 0.2262
O 0.9358 0.2520 0.7262



(5)
This entry pairs a crystal structure of Li3CrPCO7 with its simulated X-ray diffraction stick pattern. Radiation: Cu Kα (λ = 1.5418 Å). Structure: a crystal structure in the Materials Project, relaxed with GGA+U.
Kinematic intensities with the Lorentz-polarization factor, no thermal factor.

Most intense lines, 10° ≤ 2θ ≤ 80°, in order of rising 2θ:
2theta	Rel. int.
10.2	895
21.4	336
26.2	331
27.6	1000
34.7	339
36.9	333

Crystal structure
Lattice parameters (Å, degrees): 4.9782 8.6632 12.9448 90.17 90.20 94.66
Sites, in units of the cell vectors:
Li 0.0000 0.0000 0.0000
Li 0.9996 0.0014 0.5110
Li 0.4573 0.2209 0.7629
Li 0.4573 0.4646 0.0002
Li 0.4616 0.2203 0.2591
Li 0.4779 0.8275 0.1128
Li 0.4840 0.8341 0.3990
Li 0.4869 0.8310 0.8941
Li 0.4912 0.8377 0.6222
Li 0.9657 0.3862 0.3743
Li 0.9732 0.3838 0.6494
Li 0.9905 0.3900 0.8658
Cr 0.0212 0.7741 0.2581
Cr 0.0259 0.7741 0.7570
Cr 0.4332 0.4424 0.5077
Cr 0.9879 0.3595 0.1190
P 0.4984 0.5215 0.2583
P 0.5058 0.5185 0.7589
P 0.9468 0.6938 0.0068
P 0.9518 0.6982 0.5075
C 0.5200 0.1459 0.0132
C 0.5253 0.1407 0.5049
C 0.9345 0.0764 0.7576
C 0.9389 0.0757 0.2532
O 0.0420 0.5316 0.5074
O 0.0466 0.5287 0.0040
O 0.0610 0.7920 0.1008
O 0.0622 0.7942 0.9146
O 0.0663 0.7970 0.4145
O 0.0682 0.7974 0.6005
O 0.1872 0.0550 0.7589
O 0.1908 0.0559 0.2540
O 0.2682 0.1687 0.0138
O 0.2734 0.1636 0.5049
O 0.3831 0.4211 0.3508
O 0.3879 0.4262 0.1629
O 0.3913 0.4215 0.6636
O 0.3965 0.4211 0.8513
O 0.4113 0.6889 0.2593
O 0.4161 0.6862 0.7581
O 0.6005 0.0061 0.0077
O 0.6065 0.0018 0.5076
O 0.6360 0.6838 0.0063
O 0.6398 0.6903 0.5074
O 0.6997 0.2651 0.0157
O 0.7034 0.2611 0.5021
O 0.7587 0.9547 0.7560
O 0.7602 0.9588 0.2600
O 0.8106 0.5283 0.2611
O 0.8193 0.5283 0.7564
O 0.8508 0.2147 0.7582
O 0.8563 0.2166 0.2450